1.
Computed XRD peak list of Sm2MgCr2O8 for copper Kα, from a PBE+U-relaxed structure.
Neutral-atom scattering factors, no anomalous dispersion.

Principal peaks in the range 2θ = 10–80°, by intensity:
two_theta	d [Å]	I/Imax
23.61	3.769	100
32.44	2.760	55
32.11	2.788	22
18.12	4.895	19
18.01	4.927	19
48.30	1.884	17

Structural model:
```
13
Lattice="3.2367 -5.2619 0.0000 3.2367 5.2619 0.0000 -3.1863 0.0000 5.4004" Properties=species:S:1:pos:R:3 pbc="T T T"
Sm 0.0000 0.0000 0.0000
Sm 1.6435 -2.9006 2.7002
Mg 1.6435 0.1464 2.7002
Cr 1.6435 2.8795 2.7002
Cr 3.2367 0.0064 0.0000
O 0.3830 3.7432 3.5870
O 0.5720 1.6000 1.8578
O -1.1607 0.9294 4.4698
O 2.9041 3.7432 1.8134
O 2.1012 -0.9091 1.0903
O 2.7150 1.6000 3.5426
O 1.1859 -0.9091 4.3101
O 4.4477 0.9294 0.9306
```

2.
Computed XRD peak list of Li9Mn2Co5O16 for copper Kα, from a PBE+U-relaxed structure.
Neutral-atom scattering factors, no anomalous dispersion.

Principal peaks in the range 2θ = 10–80°, by intensity:
two_theta	d [Å]	I/Imax
18.36	4.833	100
42.54	2.125	30
43.76	2.068	27
44.66	2.029	26
35.34	2.540	15
36.18	2.483	14

Structural model:
```
32
Lattice="2.9543 0.0000 0.0000 0.2171 9.8608 0.0000 1.3764 2.9504 9.8000" Properties=species:S:1:pos:R:3 pbc="T T T"
Li 0.0000 0.0000 0.0000
Li 1.4316 5.6058 8.6366
Li 1.6326 11.0749 6.1135
Li 1.5522 6.6150 3.6774
Li 1.5287 2.1602 1.1046
Li 3.0191 10.6510 8.6953
Li 2.9957 6.1962 6.1225
Li 2.9152 1.7363 3.6864
Li 3.1163 7.2054 1.1633
Mn 1.6698 9.3681 2.3856
Mn 2.8781 3.4432 7.4144
Co 1.5295 8.4028 7.3458
Co 1.4639 3.9120 4.8888
Co 1.5857 4.9304 0.0000
Co 3.0840 8.8993 4.9112
Co 3.0184 4.4084 2.4541
O 1.5105 9.1772 9.1249
O 1.6104 12.1191 7.8685
O 1.4097 4.6163 6.7091
O 1.4458 7.6043 5.5442
O 1.7410 10.1038 4.2622
O 1.5187 3.1649 3.1268
O 1.5715 5.6924 1.7877
O 1.6524 8.5335 0.7623
O 2.8955 4.2777 9.0377
O 2.9764 7.1188 8.0122
O 3.0292 9.6464 6.6732
O 2.8069 2.7074 5.5377
O 3.1021 5.2069 4.2557
O 3.1382 8.1949 3.0908
O 2.9375 0.6921 1.9315
O 3.0374 3.6340 0.6751
```

3.
Computed XRD peak list of La2WO6 for copper Kα, from a PBE+U-relaxed structure.
Neutral-atom scattering factors, no anomalous dispersion.

Principal peaks in the range 2θ = 10–80°, by intensity:
two_theta	d [Å]	I/Imax
29.93	2.986	100
31.67	2.825	96
18.37	4.829	79
44.13	2.052	49
54.24	1.691	46
53.13	1.724	29

Structural model:
```
9
Lattice="2.9858 1.7239 4.4977 -2.9858 1.7239 4.4977 0.0000 -3.4478 4.4977" Properties=species:S:1:pos:R:3 pbc="T T T"
La 0.0000 0.0000 3.3587
La 0.0000 0.0000 10.1343
W 0.0000 0.0000 0.0000
O -2.0521 0.4229 5.6125
O -1.3923 -1.5657 7.8805
O 0.6598 -1.9886 5.6125
O -0.6598 1.9886 7.8805
O 1.3923 1.5657 5.6125
O 2.0521 -0.4229 7.8805
```